Computed powder diffraction line list
Compound: KRbTi4P6O24
Radiation: Cu Kα (λ = 1.5418 Å)
Structure: a DFT-relaxed cell (GGA-PBE, the Materials Project)

Cell and atoms:
Lattice parameters (Å, degrees): 9.261 9.261 9.261 54.32 54.32 54.32
Positions (direct):
K1 0.000 0.000 0.000
Rb1 0.500 0.500 0.500
Ti1 0.150 0.150 0.150
Ti2 0.350 0.350 0.350
Ti3 0.650 0.650 0.650
Ti4 0.850 0.850 0.850
P1 0.031 0.750 0.469
P2 0.250 0.531 0.969
P3 0.469 0.031 0.750
P4 0.531 0.969 0.250
P5 0.750 0.469 0.031
P6 0.969 0.250 0.531
O1 0.012 0.743 0.650
O2 0.069 0.701 0.931
O3 0.069 0.931 0.299
O4 0.150 0.242 0.512
O5 0.200 0.569 0.430
O6 0.242 0.512 0.150
O7 0.257 0.350 0.988
O8 0.299 0.069 0.931
O9 0.350 0.988 0.257
O10 0.430 0.200 0.569
O11 0.431 0.570 0.800
O12 0.488 0.850 0.758
O13 0.512 0.150 0.242
O14 0.569 0.430 0.200
O15 0.570 0.800 0.431
O16 0.650 0.012 0.743
O17 0.701 0.931 0.069
O18 0.743 0.650 0.012
O19 0.758 0.488 0.850
O20 0.800 0.431 0.570
O21 0.850 0.758 0.488
O22 0.931 0.069 0.701
O23 0.931 0.299 0.069
O24 0.988 0.257 0.350

Main lines, most intense first (2θ = 10–80°):
2θ 31.05, d 2.880, rel. 100; 2θ 23.89, d 3.724, rel. 99; 2θ 21.01, d 4.228, rel. 64; 2θ 48.91, d 1.862, rel. 32; 2θ 36.82, d 2.441, rel. 22; 2θ 60.43, d 1.532, rel. 22

=====

Computed powder diffraction line list
Compound: K2PSO8
Radiation: Cu Kα (λ = 1.5418 Å)
Structure: a DFT-relaxed cell (GGA-PBE, the Materials Project)

Cell and atoms:
Lattice parameters (Å, degrees): 7.206 7.394 7.880 89.94 89.32 83.13
Positions (direct):
K1 0.088 0.272 0.302
K2 0.410 0.230 0.805
K3 0.590 0.770 0.195
K4 0.912 0.728 0.698
P1 0.407 0.751 0.702
P2 0.593 0.249 0.298
S1 0.095 0.746 0.201
S2 0.905 0.254 0.799
O1 0.019 0.323 0.659
O2 0.029 0.184 0.942
O3 0.189 0.902 0.261
O4 0.235 0.596 0.140
O5 0.265 0.905 0.629
O6 0.303 0.596 0.775
O7 0.466 0.315 0.450
O8 0.478 0.178 0.154
O9 0.522 0.822 0.846
O10 0.534 0.685 0.550
O11 0.697 0.404 0.225
O12 0.735 0.095 0.371
O13 0.765 0.404 0.860
O14 0.811 0.098 0.739
O15 0.971 0.816 0.058
O16 0.981 0.677 0.341

Main lines, most intense first (2θ = 10–80°):
2θ 24.25, d 3.671, rel. 100; 2θ 22.57, d 3.939, rel. 90; 2θ 25.66, d 3.471, rel. 58; 2θ 27.26, d 3.272, rel. 54; 2θ 27.51, d 3.242, rel. 53; 2θ 33.36, d 2.685, rel. 26

=====

Computed powder diffraction line list
Compound: KSb2PS2O12
Radiation: Cu Kα (λ = 1.5418 Å)
Structure: a DFT-relaxed cell (GGA-PBE, the Materials Project)

Cell and atoms:
Lattice parameters (Å, degrees): 5.231 8.158 12.871 82.32 87.87 86.74
Positions (direct):
K1 0.227 0.338 0.149
K2 0.773 0.662 0.851
Sb1 0.280 0.237 0.463
Sb2 0.314 0.197 0.830
Sb3 0.686 0.803 0.170
Sb4 0.720 0.763 0.537
P1 0.234 0.532 0.642
P2 0.766 0.468 0.358
S1 0.206 0.891 0.340
S2 0.241 0.784 0.020
S3 0.759 0.216 0.980
S4 0.794 0.109 0.660
O1 0.003 0.696 0.061
O2 0.013 0.352 0.361
O3 0.068 0.108 0.685
O4 0.214 0.427 0.752
O5 0.235 0.834 0.454
O6 0.247 0.947 0.057
O7 0.250 0.434 0.549
O8 0.269 0.784 0.907
O9 0.313 0.057 0.311
O10 0.354 0.767 0.279
O11 0.467 0.673 0.072
O12 0.475 0.636 0.643
O13 0.525 0.364 0.357
O14 0.533 0.327 0.928
O15 0.646 0.233 0.721
O16 0.687 0.943 0.689
O17 0.731 0.216 0.093
O18 0.750 0.566 0.451
O19 0.753 0.053 0.943
O20 0.765 0.166 0.546
O21 0.786 0.573 0.248
O22 0.932 0.892 0.315
O23 0.987 0.648 0.639
O24 0.997 0.304 0.939

Main lines, most intense first (2θ = 10–80°):
2θ 30.32, d 2.948, rel. 100; 2θ 27.43, d 3.251, rel. 84; 2θ 22.02, d 4.037, rel. 73; 2θ 12.18, d 7.268, rel. 53; 2θ 34.36, d 2.610, rel. 49; 2θ 21.63, d 4.108, rel. 46

=====

Computed powder diffraction line list
Compound: KSbP2O8
Radiation: Cu Kα (λ = 1.5418 Å)
Structure: a DFT-relaxed cell (GGA-PBE, the Materials Project)

Cell and atoms:
Lattice parameters (Å, degrees): 9.060 9.060 9.060 31.08 31.08 31.08
Positions (direct):
K1 0.000 0.000 0.000
Sb1 0.500 0.500 0.500
P1 0.235 0.235 0.235
P2 0.765 0.765 0.765
O1 0.103 0.757 0.501
O2 0.243 0.499 0.897
O3 0.293 0.293 0.293
O4 0.499 0.897 0.243
O5 0.501 0.103 0.757
O6 0.707 0.707 0.707
O7 0.757 0.501 0.103
O8 0.897 0.243 0.499

Main lines, most intense first (2θ = 10–80°):
2θ 25.28, d 3.524, rel. 100; 2θ 10.27, d 8.616, rel. 81; 2θ 37.04, d 2.427, rel. 24; 2θ 35.03, d 2.562, rel. 20; 2θ 21.42, d 4.149, rel. 18; 2θ 42.76, d 2.114, rel. 15

=====

Computed powder diffraction line list
Compound: K2SbPO6
Radiation: Cu Kα (λ = 1.5418 Å)
Structure: a DFT-relaxed cell (GGA-PBE, the Materials Project)

Cell and atoms:
Lattice parameters (Å, degrees): 9.577 5.986 11.254 90.00 90.00 90.00
Positions (direct):
K1 0.118 0.250 0.160
K2 0.170 0.250 0.808
K3 0.330 0.750 0.308
K4 0.382 0.750 0.660
K5 0.618 0.250 0.340
K6 0.670 0.250 0.692
K7 0.830 0.750 0.192
K8 0.882 0.750 0.840
Sb1 0.000 0.000 0.500
Sb2 0.000 0.500 0.500
Sb3 0.500 0.000 0.000
Sb4 0.500 0.500 0.000
P1 0.197 0.750 0.991
P2 0.303 0.250 0.491
P3 0.697 0.750 0.509
P4 0.803 0.250 0.009
O1 0.000 0.250 0.382
O2 0.000 0.750 0.618
O3 0.034 0.750 0.383
O4 0.070 0.750 0.072
O5 0.170 0.750 0.858
O6 0.211 0.035 0.527
O7 0.211 0.465 0.527
O8 0.289 0.535 0.027
O9 0.289 0.965 0.027
O10 0.330 0.250 0.358
O11 0.430 0.250 0.572
O12 0.466 0.250 0.883
O13 0.500 0.250 0.118
O14 0.500 0.750 0.882
O15 0.534 0.750 0.117
O16 0.570 0.750 0.428
O17 0.670 0.750 0.642
O18 0.711 0.035 0.973
O19 0.711 0.465 0.973
O20 0.789 0.535 0.473
O21 0.789 0.965 0.473
O22 0.830 0.250 0.142
O23 0.930 0.250 0.928
O24 0.966 0.250 0.617

Main lines, most intense first (2θ = 10–80°):
2θ 12.13, d 7.293, rel. 100; 2θ 15.75, d 5.627, rel. 63; 2θ 32.33, d 2.769, rel. 47; 2θ 29.08, d 3.071, rel. 42; 2θ 25.50, d 3.493, rel. 40; 2θ 48.25, d 1.886, rel. 38

=====

Computed powder diffraction line list
Compound: K3ScP2O8
Radiation: Cu Kα (λ = 1.5418 Å)
Structure: a DFT-relaxed cell (GGA-PBE, the Materials Project)

Cell and atoms:
Lattice parameters (Å, degrees): 9.547 9.547 7.760 90.00 90.00 120.00
Positions (direct):
K1 0.000 0.000 0.000
K2 0.000 0.334 0.249
K3 0.000 0.666 0.751
K4 0.333 0.667 0.002
K5 0.334 0.000 0.249
K6 0.334 0.334 0.751
K7 0.666 0.000 0.751
K8 0.666 0.666 0.249
K9 0.667 0.333 0.998
Sc1 0.000 0.000 0.500
Sc2 0.333 0.667 0.531
Sc3 0.667 0.333 0.469
P1 0.013 0.672 0.277
P2 0.328 0.340 0.277
P3 0.340 0.013 0.723
P4 0.660 0.987 0.277
P5 0.672 0.660 0.723
P6 0.987 0.328 0.723
O1 0.006 0.183 0.659
O2 0.067 0.699 0.089
O3 0.145 0.663 0.388
O4 0.153 0.487 0.699
O5 0.176 0.994 0.659
O6 0.183 0.176 0.341
O7 0.301 0.367 0.089
O8 0.335 0.847 0.699
O9 0.337 0.482 0.388
O10 0.367 0.067 0.911
O11 0.482 0.145 0.612
O12 0.487 0.335 0.301
O13 0.513 0.665 0.699
O14 0.518 0.855 0.388
O15 0.633 0.933 0.089
O16 0.663 0.518 0.612
O17 0.665 0.153 0.301
O18 0.699 0.633 0.911
O19 0.817 0.824 0.659
O20 0.824 0.006 0.341
O21 0.847 0.513 0.301
O22 0.855 0.337 0.612
O23 0.933 0.301 0.911
O24 0.994 0.817 0.341

Main lines, most intense first (2θ = 10–80°):
2θ 29.67, d 3.011, rel. 100; 2θ 32.49, d 2.756, rel. 86; 2θ 44.57, d 2.033, rel. 42; 2θ 56.23, d 1.636, rel. 26; 2θ 58.15, d 1.586, rel. 24; 2θ 68.04, d 1.378, rel. 15

=====

Computed powder diffraction line list
Compound: K4PSe3O16
Radiation: Cu Kα (λ = 1.5418 Å)
Structure: a DFT-relaxed cell (GGA-PBE, the Materials Project)

Cell and atoms:
Lattice parameters (Å, degrees): 7.630 7.856 7.885 72.26 85.69 87.03
Positions (direct):
K1 0.000 0.000 0.000
K2 0.064 0.422 0.493
K3 0.375 0.891 0.555
K4 0.686 0.531 0.943
P1 0.563 0.409 0.472
Se1 0.164 0.482 0.966
Se2 0.496 0.015 0.020
Se3 0.896 0.940 0.529
O1 0.019 0.055 0.617
O2 0.023 0.782 0.469
O3 0.039 0.640 0.025
O4 0.041 0.369 0.876
O5 0.222 0.357 0.174
O6 0.340 0.564 0.835
O7 0.367 0.020 0.857
O8 0.367 0.049 0.190
O9 0.417 0.271 0.534
O10 0.463 0.592 0.412
O11 0.601 0.814 0.098
O12 0.653 0.166 0.948
O13 0.684 0.376 0.319
O14 0.688 0.409 0.618
O15 0.721 0.858 0.659
O16 0.843 0.056 0.318

Main lines, most intense first (2θ = 10–80°):
2θ 23.77, d 3.744, rel. 100; 2θ 26.63, d 3.348, rel. 42; 2θ 28.16, d 3.169, rel. 26; 2θ 25.96, d 3.432, rel. 24; 2θ 29.74, d 3.005, rel. 21; 2θ 26.37, d 3.380, rel. 21